PrH8C2S2I3N4O9: calculated X-ray diffraction stick pattern (Cu Kα X-rays), based on DFT lattice parameters and positions (PBE).
Peak positions follow from Bragg's law for the DFT cell and can differ from measured ones.

Principal peaks in the range 10° ≤ 2θ ≤ 90°, sorted by position:
10.32 deg, I = 25.0; 12.10 deg, I = 100.0; 13.77 deg, I = 43.1; 15.90 deg, I = 35.6; 21.99 deg, I = 67.1; 23.48 deg, I = 86.9; 23.57 deg, I = 41.5; 24.36 deg, I = 34.0; 25.40 deg, I = 52.9; 28.87 deg, I = 33.3; 32.11 deg, I = 45.3; 36.65 deg, I = 25.2

```
PrH8C2S2I3N4O9
1.0
10.0149 -4.0426 0.0000
10.0149 4.0426 0.0000
-6.7295 0.0000 11.1467
Pr H C S I N O
2 16 4 4 6 8 18
Direct
0.1152 0.8848 0.7500
0.8848 0.1152 0.2500
0.0702 0.2685 0.9800
0.0786 0.4417 0.0951
0.1293 0.3642 0.7582
0.2238 0.4535 0.7716
0.2685 0.0702 0.4800
0.3642 0.1293 0.2582
0.4417 0.0786 0.5951
0.4535 0.2238 0.2716
0.5465 0.7762 0.7284
0.5583 0.9214 0.4049
0.6358 0.8707 0.7418
0.7315 0.9298 0.5200
0.7762 0.5465 0.2284
0.8707 0.6358 0.2418
0.9214 0.5583 0.9049
0.9298 0.7315 0.0200
0.0916 0.5796 0.9000
0.4204 0.9084 0.6000
0.5796 0.0916 0.4000
0.9084 0.4204 0.1000
0.1634 0.7245 0.9814
0.2755 0.8366 0.5186
0.7245 0.1634 0.4814
0.8366 0.2755 0.0186
0.0000 0.5000 0.5000
0.1125 0.6782 0.2613
0.3218 0.8875 0.2387
0.5000 0.0000 0.0000
0.6782 0.1125 0.7613
0.8875 0.3218 0.7387
0.0244 0.3768 0.0555
0.1634 0.4469 0.8080
0.3768 0.0244 0.5555
0.4469 0.1634 0.3080
0.5531 0.8366 0.6920
0.6232 0.9756 0.4445
0.8366 0.5531 0.1920
0.9756 0.6232 0.9445
0.0141 0.1035 0.9828
0.1035 0.0141 0.4828
0.1204 0.1480 0.8316
0.1480 0.1204 0.3316
0.1645 0.5675 0.6010
0.1957 0.7145 0.8745
0.2188 0.7812 0.2500
0.2855 0.8043 0.6255
0.4325 0.8355 0.8990
0.5675 0.1645 0.1010
0.7145 0.1957 0.3745
0.7812 0.2188 0.7500
0.8043 0.2855 0.1255
0.8355 0.4325 0.3990
0.8520 0.8796 0.6684
0.8796 0.8520 0.1684
0.8965 0.9859 0.5172
0.9859 0.8965 0.0172
```